Calculated powder X-ray diffraction pattern of TbSmYTm for a wavelength of 1.5418 Å, from a GGA-PBE-relaxed structure.
Peak positions follow from Bragg's law for the DFT cell and can differ from measured ones.

Crystal structure
Cell: 5.0442 5.0442 10.0474 Å, 90.00 90.00 90.00°
Space group I-4m2 (No. 119)
Asymmetric unit:
Tb1 0.0000 0.0000 0.0000 x2
Sm1 0.0000 0.5000 0.7500 x2
Y1 0.0000 0.0000 0.5000 x2
Tm1 0.0000 0.5000 0.2500 x2

Principal peaks in the range 2θ = 10–90°, most intense first:
d = 2.908 Å, 30.74°, rel. 1000, hkl 1 1 2
d = 2.522 Å, 35.60°, rel. 338, hkl 2 0 0
d = 1.520 Å, 60.94°, rel. 284, hkl 3 1 2
d = 1.780 Å, 51.34°, rel. 238, hkl 2 0 4
d = 2.512 Å, 35.75°, rel. 167, hkl 0 0 4
d = 1.516 Å, 61.14°, rel. 141, hkl 1 1 6
d = 1.454 Å, 64.03°, rel. 122, hkl 2 2 4
d = 1.783 Å, 51.22°, rel. 120, hkl 2 2 0
d = 1.155 Å, 83.74°, rel. 117, hkl 3 1 6
d = 1.127 Å, 86.28°, rel. 109, hkl 4 2 0


Calculated powder X-ray diffraction pattern of Tb2SmY3Tm6 for a wavelength of 1.5418 Å, from a GGA-PBE-relaxed structure.
Peak positions follow from Bragg's law for the DFT cell and can differ from measured ones.

Crystal structure
Cell: 6.1248 10.5957 11.6881 Å, 90.00 100.03 90.00°
Space group C2/m (No. 12)
Asymmetric unit:
Tb1 0.0000 0.1667 0.0000 x4
Sm1 0.0000 0.5000 0.0000 x2
Y1 0.0000 0.0000 0.5000 x2
Y2 0.0000 0.3332 0.5000 x4
Tm1 0.2491 0.1668 0.7500 x8
Tm2 0.2495 0.5000 0.7501 x4

Principal peaks in the range 2θ = 10–90°, most intense first:
d = 2.882 Å, 31.03°, rel. 1000, hkl 1 3 1
d = 2.497 Å, 35.97°, rel. 674, hkl 2 0 2
d = 2.886 Å, 30.99°, rel. 335, hkl 2 0 -2
d = 1.506 Å, 61.56°, rel. 330, hkl 4 0 0
d = 1.767 Å, 51.73°, rel. 239, hkl 0 6 0
d = 1.764 Å, 51.84°, rel. 238, hkl 1 3 5
d = 1.504 Å, 61.66°, rel. 235, hkl 2 0 6
d = 1.442 Å, 64.62°, rel. 122, hkl 2 6 2
d = 1.147 Å, 84.50°, rel. 118, hkl 4 6 0
d = 1.248 Å, 76.28°, rel. 76, hkl 4 0 4


Calculated powder X-ray diffraction pattern of Tb6SmY3Tm2 for a wavelength of 1.5418 Å, from a GGA-PBE-relaxed structure.
Peak positions follow from Bragg's law for the DFT cell and can differ from measured ones.

Crystal structure
Cell: 6.1629 10.6614 11.7844 Å, 90.00 99.96 90.00°
Space group C2/m (No. 12)
Asymmetric unit:
Tb1 0.2490 0.0000 0.2487 x4
Tb2 0.2500 0.1669 0.7511 x8
Sm1 0.0000 0.5000 0.0000 x2
Y1 0.0000 0.0000 0.5000 x2
Y2 0.0000 0.3331 0.5000 x4
Tm1 0.0000 0.1668 0.0000 x4

Principal peaks in the range 2θ = 10–90°, most intense first:
d = 2.903 Å, 30.80°, rel. 1000, hkl 1 3 1
d = 2.514 Å, 35.72°, rel. 505, hkl 2 0 2
d = 1.778 Å, 51.40°, rel. 358, hkl 1 3 5
d = 1.515 Å, 61.16°, rel. 282, hkl 0 6 4
d = 1.154 Å, 83.87°, rel. 160, hkl 4 6 0
d = 1.517 Å, 61.08°, rel. 142, hkl 4 0 0
d = 1.451 Å, 64.17°, rel. 122, hkl 2 6 2
d = 1.124 Å, 86.62°, rel. 109, hkl 0 6 8
d = 1.125 Å, 86.50°, rel. 55, hkl 5 3 1
d = 1.256 Å, 75.71°, rel. 38, hkl 2 6 -6


Calculated powder X-ray diffraction pattern of TbSmY6Tm2 for a wavelength of 1.5418 Å, from a GGA-PBE-relaxed structure.
Peak positions follow from Bragg's law for the DFT cell and can differ from measured ones.

Crystal structure
Cell: 9.1649 14.9615 9.5373 Å, 90.00 97.14 90.00°
Space group C2/c (No. 15)
Asymmetric unit:
Tb1 0.0000 0.0904 0.2500 x4
Sm1 0.0000 0.4722 0.7500 x4
Y1 0.0628 0.3182 0.4435 x8
Y2 0.0974 0.1088 0.6158 x8
Y3 0.2103 0.2749 0.8179 x8
Tm1 0.2490 0.4489 0.0488 x8

Principal peaks in the range 2θ = 10–90°, most intense first:
d = 2.858 Å, 31.30°, rel. 1000, hkl 2 2 2
d = 2.907 Å, 30.76°, rel. 769, hkl 0 2 3
d = 2.939 Å, 30.42°, rel. 700, hkl 3 1 -1
d = 2.826 Å, 31.67°, rel. 604, hkl 2 4 -1
d = 3.120 Å, 28.61°, rel. 604, hkl 1 3 2
d = 2.842 Å, 31.47°, rel. 566, hkl 1 5 0
d = 2.634 Å, 34.04°, rel. 559, hkl 1 3 -3
d = 2.752 Å, 32.54°, rel. 458, hkl 1 5 -1
d = 3.173 Å, 28.13°, rel. 452, hkl 2 2 -2
d = 7.481 Å, 11.83°, rel. 396, hkl 0 2 0


Calculated powder X-ray diffraction pattern of TbSm3YTm for a wavelength of 1.5418 Å, from a GGA-PBE-relaxed structure.
Peak positions follow from Bragg's law for the DFT cell and can differ from measured ones.

Crystal structure
Cell: 22.1024 5.5586 6.7237 Å, 90.00 98.91 90.00°
Space group C2/m (No. 12)
Asymmetric unit:
Tb1 0.0717 0.0000 0.1786 x4
Sm1 0.0240 0.5000 0.7648 x4
Sm2 0.1630 0.0000 0.7654 x4
Sm3 0.2251 0.0000 0.3105 x4
Y1 0.1667 0.5000 0.0254 x4
Tm1 0.1318 0.5000 0.4676 x4

Principal peaks in the range 2θ = 10–90°, most intense first:
d = 2.782 Å, 32.18°, rel. 1000, hkl 0 2 0
d = 2.909 Å, 30.73°, rel. 569, hkl 5 1 1
d = 2.674 Å, 33.51°, rel. 241, hkl 8 0 -1
d = 1.606 Å, 57.36°, rel. 203, hkl 3 3 -2
d = 2.720 Å, 32.93°, rel. 202, hkl 7 1 0
d = 1.927 Å, 47.16°, rel. 185, hkl 8 2 -1
d = 3.214 Å, 27.75°, rel. 106, hkl 5 1 -1
d = 1.629 Å, 56.51°, rel. 102, hkl 5 3 1
d = 2.660 Å, 33.69°, rel. 98, hkl 4 0 2
d = 4.264 Å, 20.83°, rel. 84, hkl 1 1 -1


Calculated powder X-ray diffraction pattern of Tb3Sm5Y2 for a wavelength of 1.5418 Å, from a GGA-PBE-relaxed structure.
Peak positions follow from Bragg's law for the DFT cell and can differ from measured ones.

Crystal structure
Cell: 10.6793 14.8444 10.0296 Å, 90.00 122.09 90.00°
Space group C2/c (No. 15)
Asymmetric unit:
Tb1 0.0000 0.2281 0.2500 x4
Tb2 0.1524 0.1253 0.0572 x8
Sm1 0.0000 0.0185 0.2500 x4
Sm2 0.0000 0.2688 0.7500 x4
Sm3 0.0000 0.4777 0.7500 x4
Sm4 0.2465 0.3736 0.2464 x8
Y1 0.1541 0.3740 0.5553 x8

Principal peaks in the range 2θ = 10–90°, most intense first:
d = 2.868 Å, 31.18°, rel. 1000, hkl 2 4 -2
d = 3.034 Å, 29.44°, rel. 800, hkl 2 2 1
d = 2.670 Å, 33.57°, rel. 404, hkl 4 0 -2
d = 1.484 Å, 62.58°, rel. 233, hkl 2 4 4
d = 1.528 Å, 60.60°, rel. 199, hkl 4 6 -5
d = 1.863 Å, 48.88°, rel. 192, hkl 0 6 3
d = 2.502 Å, 35.89°, rel. 189, hkl 2 0 2
d = 4.249 Å, 20.91°, rel. 188, hkl 0 0 2
d = 2.795 Å, 32.02°, rel. 171, hkl 0 4 2
d = 1.577 Å, 58.53°, rel. 168, hkl 6 4 -4


Calculated powder X-ray diffraction pattern of Tb5Sm2Y for a wavelength of 1.5418 Å, from a GGA-PBE-relaxed structure.
Peak positions follow from Bragg's law for the DFT cell and can differ from measured ones.

Crystal structure
Cell: 7.1656 14.3283 5.0546 Å, 90.00 90.00 90.00°
Space group Pbam (No. 55)
Asymmetric unit:
Tb1 0.0000 0.0000 0.0000 x2
Tb2 0.0013 0.2496 0.0000 x4
Tb3 0.2484 0.8746 0.5000 x4
Sm1 0.2504 0.1252 0.5000 x4
Y1 0.0000 0.5000 0.0000 x2

Principal peaks in the range 2θ = 10–90°, most intense first:
d = 2.923 Å, 30.59°, rel. 1000, hkl 2 0 1
d = 2.531 Å, 35.46°, rel. 506, hkl 2 4 0
d = 1.790 Å, 51.03°, rel. 360, hkl 4 0 0
d = 1.527 Å, 60.63°, rel. 285, hkl 4 4 1
d = 1.525 Å, 60.75°, rel. 142, hkl 2 0 3
d = 1.461 Å, 63.68°, rel. 123, hkl 4 0 2
d = 1.161 Å, 83.21°, rel. 117, hkl 4 4 3
d = 1.133 Å, 85.79°, rel. 110, hkl 6 4 0
d = 1.162 Å, 83.11°, rel. 59, hkl 6 0 1
d = 1.131 Å, 85.96°, rel. 55, hkl 2 4 4